Diffraction record for MgNi5B. The powder X-ray diffraction pattern is theoretical, not measured: it uses a structure optimized by DFT (PBE) and a wavelength of 1.5418 Å.
No peak broadening, texture or thermal motion is included.

Atomic structure:
Unit cell a=3.513 b=3.513 c=6.252 alpha=90.00 beta=90.00 gamma=90.00
Fractional coordinates of all 7 atoms:
Mg 0.000 0.000 0.000
Ni 0.000 0.500 0.311
Ni 0.000 0.500 0.689
Ni 0.500 0.000 0.311
Ni 0.500 0.000 0.689
Ni 0.500 0.500 0.000
B 0.500 0.500 0.500

Principal peaks in the range 2θ from 10° to 90°, by angle:
2θ/deg  I/Imax  index
36.16  34  1 1 0
39.02  68  1 1 1
43.42  39  0 0 3
46.71  100  1 1 2
52.07  56  2 0 0
70.06  34  2 0 3
76.74  16  2 2 0
87.31  19  1 1 5